Starting from a cell relaxed with GGA-PBE, the X-ray powder pattern of K3Rb8Hg was simulated for λ = 1.5418 Å (Cu Kα).
Peak positions follow from Bragg's law for the DFT cell and can differ from measured ones.

Atomic structure:
```
data_K3Rb8Hg
_chemical_formula_sum 'K6 Rb16 Hg2'
_symmetry_space_group_name_H-M 'P 63 m c'
_symmetry_Int_Tables_number 186
_symmetry_space_group_name_Hall 'P 6c -2c'
_cell_length_a 14.9625
_cell_length_b 14.9625
_cell_length_c 9.6093
_cell_angle_alpha 90.00
_cell_angle_beta 90.00
_cell_angle_gamma 120.00
loop_
_atom_site_label
_atom_site_fract_x
_atom_site_fract_y
_atom_site_fract_z
K1 0.1584 0.3167 0.0000
Rb1 0.0000 0.0000 0.2521
Rb2 0.0429 0.5215 0.2171
Rb3 0.2020 0.4040 0.5084
Rb4 0.3333 0.6667 0.8906
Hg1 0.3333 0.6667 0.2975
```

The 6 most intense peaks (10° ≤ 2θ ≤ 80°), by angle:
Position (°2θ), Rel. int., (hkl)
11.46, 42, 1 0 1
11.83, 29, 1 1 0
21.99, 42, 1 1 2
23.05, 63, 2 0 2
23.79, 100, 2 2 0
27.77, 30, 3 0 2